Structure and theoretical powder diffraction line list of PrGeIrO5 (DFT lattice parameters and positions (GGA-PBE); Cu Kα, 1.54184 Å).
Kinematic intensities with the Lorentz-polarization factor, no thermal factor.

Structural model:
```
PrGeIrO5
1.0
5.2804 0.0000 0.0000
-1.7333 5.6430 0.0000
-1.3549 -2.7022 6.5710
Pr Ge Ir O
2 2 2 10
Cartesian
-0.2175 0.8795 1.9831
2.4098 2.0613 4.5879
-0.5395 -0.1719 5.2284
2.7317 3.1128 1.3426
2.6402 0.0000 0.0000
1.9628 -1.3511 3.2855
-1.4230 3.1144 2.7506
-0.4966 -1.7260 6.0952
-1.2470 1.0799 6.2615
0.9473 0.1480 4.2964
0.2089 2.7617 4.6557
1.9834 0.1792 1.9153
1.2450 2.7929 2.2746
3.4393 1.8609 0.3095
2.6888 4.6668 0.4758
3.6153 -0.1735 3.8204
```

Top 6 peaks for 2θ from 10° to 90°, low angle first:
two_theta	Rel. int.
27.86	941
29.59	837
32.34	657
33.13	657
34.78	1000
37.49	442